Calculated PXRD pattern of CaGd for Cu Kα (weighted mean of Kα1 and Kα2), from a cell relaxed with PBE.
Lines closer than 0.1° are merged.

The 12 most intense peaks (15° ≤ 2θ ≤ 90°), sorted by position:
| 2theta | intensity | index |
| --- | --- | --- |
| 25.4 | 15 | 1 0 1 |
| 29.3 | 100 | 1 0 2 |
| 33.6 | 15 | 0 0 4 |
| 34.1 | 35 | 1 1 0 |
| 34.9 | 24 | 1 0 3 |
| 35.1 | 15 | 1 1 1 |
| 48.6 | 20 | 1 1 4 |
| 49.0 | 12 | 2 0 0 |
| 57.5 | 9 | 1 0 6 |
| 58.1 | 28 | 2 1 2 |
| 60.7 | 11 | 2 0 4 |
| 61.5 | 10 | 2 1 3 |

Atomic structure:
```
data_CaGd
_cell_length_a 3.7199
_cell_length_b 3.7199
_cell_length_c 10.6637
_cell_angle_alpha 90.00
_cell_angle_beta 90.00
_cell_angle_gamma 90.00
_symmetry_space_group_name_H-M 'P 4/n m m'
_symmetry_Int_Tables_number 129
loop_
_symmetry_equiv_pos_as_xyz
'x,y,z'
'-x,-y,-z'
'-y+1/2,x,z'
'y+1/2,-x,-z'
'-x+1/2,-y+1/2,z'
'x+1/2,y+1/2,-z'
'y,-x+1/2,z'
'-y,x+1/2,-z'
'x+1/2,-y,-z'
'-x+1/2,y,z'
'-y,-x,-z'
'y,x,z'
'-x,y+1/2,-z'
'x,-y+1/2,z'
'y+1/2,x+1/2,-z'
'-y+1/2,-x+1/2,z'
loop_
_atom_site_label
_atom_site_fract_x
_atom_site_fract_y
_atom_site_fract_z
Ca1 0.2500 0.2500 0.1365
Gd1 0.2500 0.2500 0.6053
```